Simulated powder diffraction line list of KAuO3 for CuKα, from DFT lattice parameters and positions (PBE).

Structural model:
```
KAuO3
1.0
4.158 0.000 0.000
0.000 4.158 0.000
0.000 0.000 4.158
K Au O
1 1 3
direct
0.000 0.000 0.000
0.500 0.500 0.500
0.000 0.500 0.500
0.500 0.000 0.500
0.500 0.500 0.000
```

Main lines, by intensity (15° ≤ 2θ ≤ 90°):
| Position (°2θ) | I_rel | (hkl) |
| --- | --- | --- |
| 30.4 | 100 | 1 1 0 |
| 21.4 | 71 | 1 0 0 |
| 54.0 | 41 | 2 1 1 |
| 49.0 | 34 | 2 1 0 |
| 43.5 | 31 | 2 0 0 |
| 87.9 | 22 | 3 2 1 |
| 63.3 | 19 | 2 2 0 |
| 71.8 | 18 | 3 1 0 |